Simulated X-ray powder pattern
Compound: Na3SmV2O8
Radiation: Cu Kα
Structure: a PBE+U-relaxed structure
Neutral-atom scattering factors, no anomalous dispersion.

```
data_Na3SmV2O8
_chemical_formula_sum 'Na3 Sm1 V2 O8'
_symmetry_space_group_name_H-M 'P 1'
_symmetry_Int_Tables_number 1
_symmetry_space_group_name_Hall 'P 1'
_cell_length_a 5.9879
_cell_length_b 5.9879
_cell_length_c 7.3340
_cell_angle_alpha 90.00
_cell_angle_beta 90.00
_cell_angle_gamma 120.00
loop_
_atom_site_label
_atom_site_fract_x
_atom_site_fract_y
_atom_site_fract_z
Na1 0.0000 0.0000 0.0000
Na2 0.3333 0.6667 0.6963
Na3 0.6667 0.3333 0.3037
Sm1 0.0000 0.0000 0.5000
V1 0.3333 0.6667 0.2219
V2 0.6667 0.3333 0.7781
O1 0.1743 0.3486 0.3067
O2 0.1743 0.8257 0.3067
O3 0.3333 0.6667 0.9931
O4 0.3486 0.1743 0.6933
O5 0.6514 0.8257 0.3067
O6 0.6667 0.3333 0.0069
O7 0.8257 0.1743 0.6933
O8 0.8257 0.6514 0.6933
```

Largest 6 diffraction maxima, by angle, 10° ≤ 2θ ≤ 90°:
hkl 0 0 1, d 7.334, 2θ 12.07, I 21
hkl 1 0 1, d 4.234, 2θ 20.98, I 67
hkl 1 1 0, d 2.994, 2θ 29.84, I 100
hkl 2 0 2, d 2.117, 2θ 42.71, I 29
hkl 2 1 1, d 1.894, 2θ 48.05, I 18
hkl 3 0 0, d 1.729, 2θ 52.97, I 31